1.
Starting from a GGA-PBE-relaxed structure, the powder diffraction line list of NdAlCu2Pd2 was calculated for copper Kα.
Lines closer than 0.1° are merged.

Structural model:
abc: 5.548 8.786 4.195
angles: 90.00 90.00 90.00
Space group Cmmm (No. 65)
Asymmetric unit:
1 Nd 0.000 0.000 0.000 x2
2 Al 0.000 0.500 0.500 x2
3 Cu 0.000 0.346 0.000 x4
4 Pd 0.250 0.250 0.500 x4

Most intense lines, 2θ = 5–70°, most intense first:
d_spacing, I/Imax
2.314, 100
3.034, 77
2.204, 72
2.346, 54
2.097, 46
2.590, 39
1.564, 38
1.465, 19
1.630, 19
3.127, 18



2.
Starting from a GGA-PBE-relaxed structure, the powder diffraction line list of Zn was calculated for copper Kα.
Lines closer than 0.1° are merged.

Structural model:
abc: 6.707 6.707 6.707
angles: 90.00 90.00 90.00
Space group P4_132 (No. 213)
Asymmetric unit:
1 Zn 0.032 0.032 0.032 x8
2 Zn 0.075 0.875 0.675 x12

Most intense lines, 2θ = 5–70°, most intense first:
d_spacing, I/Imax
2.022, 100
2.236, 80
2.121, 50
2.371, 27
2.738, 19
1.936, 18
1.369, 11
3.000, 8
1.581, 7
1.464, 6



3.
Starting from a GGA-PBE-relaxed structure, the powder diffraction line list of K6LiFe24S26Cl was calculated for copper Kα.
Lines closer than 0.1° are merged.

Structural model:
abc: 9.813 9.813 9.813
angles: 90.00 90.00 90.00
Space group Pm-3m (No. 221)
Asymmetric unit:
1 K 0.000 0.000 0.300 x6
2 Li 0.500 0.500 0.500 x1
3 Fe 0.135 0.365 0.365 x24
4 S 0.000 0.250 0.500 x12
5 S 0.224 0.224 0.224 x8
6 S 0.248 0.500 0.500 x6
7 Cl 0.000 0.000 0.000 x1

Most intense lines, 2θ = 5–70°, most intense first:
d_spacing, I/Imax
1.735, 100
2.833, 61
2.251, 58
9.813, 50
5.665, 49
2.959, 47
6.939, 33
3.103, 28
1.888, 14
1.479, 13